For Cr12As5C, a DFT-relaxed cell (GGA-PBE, the Materials Project) gives the computed X-ray powder pattern in this record (Cu Kα (λ = 1.5418 Å)).
Neutral-atom scattering factors, no anomalous dispersion.

Largest 10 diffraction maxima, by intensity, 5° ≤ 2θ ≤ 70°:
| 2theta | intensity |
| --- | --- |
| 42.83 | 100 |
| 39.54 | 98 |
| 48.88 | 46 |
| 51.76 | 38 |
| 57.24 | 20 |
| 27.67 | 19 |
| 57.08 | 6 |
| 40.37 | 6 |
| 66.99 | 6 |
| 45.19 | 5 |

Crystal structure
Unit cell a=3.2187 b=11.1814 c=6.4544 alpha=90.00 beta=90.00 gamma=90.00
Positions (direct):
Cr 0.0000 0.0000 0.0000
Cr 0.0000 0.1106 0.3412
Cr 0.0000 0.3634 0.8583
Cr 0.0000 0.5000 0.4629
Cr 0.0000 0.6366 0.8583
Cr 0.0000 0.8894 0.3412
Cr 0.5000 0.0000 0.5978
Cr 0.5000 0.1784 0.0487
Cr 0.5000 0.2943 0.5234
Cr 0.5000 0.5000 0.1281
Cr 0.5000 0.7057 0.5234
Cr 0.5000 0.8216 0.0487
As 0.0000 0.1600 0.7291
As 0.0000 0.3268 0.2257
As 0.0000 0.6732 0.2257
As 0.0000 0.8400 0.7291
As 0.5000 0.5000 0.7302
C 0.5000 0.0000 0.2243